[1]
# Ca8N4O
Theoretical X-ray powder pattern, Cu Kα, 1.54184 Å. Input: DFT lattice parameters and positions (GGA-PBE).
No peak broadening, texture or thermal motion is included.

Atomic structure:
```
data_Ca8N4O
_chemical_formula_sum 'Ca8 N4 O1'
_symmetry_space_group_name_H-M 'P 1'
_symmetry_Int_Tables_number 1
_symmetry_space_group_name_Hall 'P 1'
_cell_length_a 7.242
_cell_length_b 7.242
_cell_length_c 7.242
_cell_angle_alpha 60.00
_cell_angle_beta 60.00
_cell_angle_gamma 60.00
loop_
_atom_site_label
_atom_site_type_symbol
_atom_site_fract_x
_atom_site_fract_y
_atom_site_fract_z
Ca1 Ca 0.390 0.390 0.390
Ca2 Ca 0.390 0.390 0.830
Ca3 Ca 0.390 0.830 0.390
Ca4 Ca 0.404 0.865 0.865
Ca5 Ca 0.830 0.390 0.390
Ca6 Ca 0.865 0.404 0.865
Ca7 Ca 0.865 0.865 0.404
Ca8 Ca 0.865 0.865 0.865
N1 N 0.129 0.624 0.624
N2 N 0.624 0.129 0.624
N3 N 0.624 0.624 0.129
N4 N 0.624 0.624 0.624
O1 O 0.000 0.000 0.000
```

Top 10 peaks for 2θ from 10° to 80°, in order of falling intensity:
2θ 30.2, I 100; 2θ 35.0, I 87; 2θ 50.4, I 59; 2θ 59.9, I 30; 2θ 15.0, I 27; 2θ 46.1, I 20; 2θ 62.9, I 14; 2θ 65.0, I 9; 2θ 74.1, I 7; 2θ 70.6, I 6

***

[2]
# Sr2CaTi6N2O11
Theoretical X-ray powder pattern, Cu Kα, 1.54184 Å. Input: DFT lattice parameters and positions (GGA-PBE).
No peak broadening, texture or thermal motion is included.

Atomic structure:
```
data_Sr2CaTi6N2O11
_chemical_formula_sum 'Sr2 Ca1 Ti6 N2 O11'
_symmetry_space_group_name_H-M 'P 1'
_symmetry_Int_Tables_number 1
_symmetry_space_group_name_Hall 'P 1'
_cell_length_a 7.435
_cell_length_b 7.435
_cell_length_c 10.128
_cell_angle_alpha 103.45
_cell_angle_beta 103.45
_cell_angle_gamma 30.21
loop_
_atom_site_label
_atom_site_type_symbol
_atom_site_fract_x
_atom_site_fract_y
_atom_site_fract_z
Sr1 Sr 0.000 0.000 0.000
Sr2 Sr 0.040 0.040 0.348
Ca1 Ca 0.058 0.058 0.683
Ti1 Ti 0.309 0.309 0.099
Ti2 Ti 0.366 0.366 0.430
Ti3 Ti 0.389 0.389 0.763
Ti4 Ti 0.671 0.671 0.895
Ti5 Ti 0.711 0.711 0.243
Ti6 Ti 0.759 0.759 0.583
N1 N 0.300 0.300 0.578
N2 N 0.690 0.690 0.723
O1 O 0.166 0.166 0.936
O2 O 0.237 0.237 0.262
O3 O 0.370 0.370 0.937
O4 O 0.420 0.420 0.229
O5 O 0.492 0.492 0.524
O6 O 0.532 0.532 0.830
O7 O 0.591 0.591 0.137
O8 O 0.662 0.662 0.417
O9 O 0.779 0.779 0.074
O10 O 0.852 0.852 0.400
O11 O 0.902 0.902 0.733
```

Top 10 peaks for 2θ from 10° to 80°, in order of falling intensity:
2θ 30.0, I 100; 2θ 35.3, I 62; 2θ 46.9, I 39; 2θ 32.7, I 37; 2θ 32.9, I 27; 2θ 39.5, I 24; 2θ 47.1, I 20; 2θ 37.7, I 16; 2θ 25.0, I 15; 2θ 50.4, I 13

***

[3]
# Sr2CaTi6N2O11
Theoretical X-ray powder pattern, Cu Kα, 1.54184 Å. Input: DFT lattice parameters and positions (GGA-PBE).
No peak broadening, texture or thermal motion is included.

Atomic structure:
```
data_Sr2CaTi6N2O11
_chemical_formula_sum 'Sr2 Ca1 Ti6 N2 O11'
_symmetry_space_group_name_H-M 'P 1'
_symmetry_Int_Tables_number 1
_symmetry_space_group_name_Hall 'P 1'
_cell_length_a 3.910
_cell_length_b 7.386
_cell_length_c 10.088
_cell_angle_alpha 102.69
_cell_angle_beta 93.71
_cell_angle_gamma 98.93
loop_
_atom_site_label
_atom_site_type_symbol
_atom_site_fract_x
_atom_site_fract_y
_atom_site_fract_z
Sr1 Sr 0.000 0.000 0.000
Sr2 Sr 0.045 0.890 0.349
Ca1 Ca 0.301 0.012 0.689
Ti1 Ti 0.301 0.482 0.414
Ti2 Ti 0.357 0.609 0.748
Ti3 Ti 0.434 0.671 0.111
Ti4 Ti 0.665 0.231 0.241
Ti5 Ti 0.772 0.302 0.581
Ti6 Ti 0.827 0.411 0.921
N1 N 0.405 0.621 0.280
N2 N 0.773 0.406 0.424
O1 O 0.172 0.211 0.272
O2 O 0.275 0.324 0.609
O3 O 0.334 0.691 0.582
O4 O 0.352 0.481 0.925
O5 O 0.414 0.845 0.855
O6 O 0.552 0.947 0.175
O7 O 0.658 0.045 0.512
O8 O 0.704 0.285 0.072
O9 O 0.830 0.179 0.803
O10 O 0.842 0.537 0.748
O11 O 0.931 0.679 0.067
```

Top 10 peaks for 2θ from 10° to 80°, in order of falling intensity:
2θ 28.3, I 100; 2θ 34.2, I 68; 2θ 31.2, I 65; 2θ 27.4, I 65; 2θ 32.7, I 64; 2θ 32.8, I 62; 2θ 36.5, I 60; 2θ 39.6, I 58; 2θ 46.8, I 53; 2θ 46.4, I 51

***

[4]
# CaTaNO2
Theoretical X-ray powder pattern, Cu Kα, 1.54184 Å. Input: DFT lattice parameters and positions (GGA-PBE).
No peak broadening, texture or thermal motion is included.

Atomic structure:
```
data_CaTaNO2
_chemical_formula_sum 'Ca4 Ta4 N4 O8'
_symmetry_space_group_name_H-M 'P 1'
_symmetry_Int_Tables_number 1
_symmetry_space_group_name_Hall 'P 1'
_cell_length_a 5.571
_cell_length_b 5.688
_cell_length_c 9.635
_cell_angle_alpha 90.00
_cell_angle_beta 125.02
_cell_angle_gamma 90.00
loop_
_atom_site_label
_atom_site_type_symbol
_atom_site_fract_x
_atom_site_fract_y
_atom_site_fract_z
Ca1 Ca 0.232 0.041 0.246
Ca2 Ca 0.232 0.459 0.746
Ca3 Ca 0.768 0.541 0.254
Ca4 Ca 0.768 0.959 0.754
Ta1 Ta 0.000 0.000 0.500
Ta2 Ta 0.000 0.500 0.000
Ta3 Ta 0.500 0.000 0.000
Ta4 Ta 0.500 0.500 0.500
N1 N 0.171 0.216 0.956
N2 N 0.171 0.284 0.456
N3 N 0.829 0.716 0.544
N4 N 0.829 0.784 0.044
O1 O 0.235 0.715 0.949
O2 O 0.235 0.785 0.449
O3 O 0.341 0.022 0.750
O4 O 0.341 0.478 0.250
O5 O 0.659 0.522 0.750
O6 O 0.659 0.978 0.250
O7 O 0.765 0.215 0.551
O8 O 0.765 0.285 0.051
```

Top 10 peaks for 2θ from 10° to 80°, in order of falling intensity:
2θ 22.3, I 100; 2θ 31.9, I 77; 2θ 32.0, I 75; 2θ 22.5, I 45; 2θ 45.6, I 40; 2θ 31.5, I 40; 2θ 32.1, I 36; 2θ 56.3, I 29; 2θ 57.3, I 25; 2θ 57.1, I 25

***

[5]
# Ca2Ti6N2O11
Theoretical X-ray powder pattern, Cu Kα, 1.54184 Å. Input: DFT lattice parameters and positions (GGA-PBE).
No peak broadening, texture or thermal motion is included.

Atomic structure:
```
data_Ca2Ti6N2O11
_chemical_formula_sum 'Ca2 Ti6 N2 O11'
_symmetry_space_group_name_H-M 'P 1'
_symmetry_Int_Tables_number 1
_symmetry_space_group_name_Hall 'P 1'
_cell_length_a 7.728
_cell_length_b 7.728
_cell_length_c 9.455
_cell_angle_alpha 100.56
_cell_angle_beta 100.56
_cell_angle_gamma 28.36
loop_
_atom_site_label
_atom_site_type_symbol
_atom_site_fract_x
_atom_site_fract_y
_atom_site_fract_z
Ca1 Ca 0.000 0.000 0.000
Ca2 Ca 0.075 0.075 0.552
Ti1 Ti 0.308 0.308 0.067
Ti2 Ti 0.361 0.361 0.399
Ti3 Ti 0.405 0.405 0.725
Ti4 Ti 0.655 0.655 0.899
Ti5 Ti 0.688 0.688 0.253
Ti6 Ti 0.754 0.754 0.569
N1 N 0.293 0.293 0.578
N2 N 0.647 0.647 0.428
O1 O 0.172 0.172 0.936
O2 O 0.230 0.230 0.246
O3 O 0.378 0.378 0.930
O4 O 0.404 0.404 0.223
O5 O 0.467 0.467 0.540
O6 O 0.532 0.532 0.830
O7 O 0.590 0.590 0.105
O8 O 0.683 0.683 0.718
O9 O 0.773 0.773 0.062
O10 O 0.829 0.829 0.397
O11 O 0.899 0.899 0.734
```

Top 10 peaks for 2θ from 10° to 80°, in order of falling intensity:
2θ 29.8, I 100; 2θ 13.9, I 70; 2θ 12.0, I 67; 2θ 30.3, I 64; 2θ 48.1, I 63; 2θ 33.8, I 51; 2θ 41.9, I 51; 2θ 24.3, I 49; 2θ 29.1, I 48; 2θ 44.9, I 29

***

[6]
# Ca2Ti6N2O11
Theoretical X-ray powder pattern, Cu Kα, 1.54184 Å. Input: DFT lattice parameters and positions (GGA-PBE).
No peak broadening, texture or thermal motion is included.

Atomic structure:
```
data_Ca2Ti6N2O11
_chemical_formula_sum 'Ca2 Ti6 N2 O11'
_symmetry_space_group_name_H-M 'P 1'
_symmetry_Int_Tables_number 1
_symmetry_space_group_name_Hall 'P 1'
_cell_length_a 7.748
_cell_length_b 7.748
_cell_length_c 9.818
_cell_angle_alpha 102.84
_cell_angle_beta 102.84
_cell_angle_gamma 27.94
loop_
_atom_site_label
_atom_site_type_symbol
_atom_site_fract_x
_atom_site_fract_y
_atom_site_fract_z
Ca1 Ca 0.000 0.000 0.000
Ca2 Ca 0.080 0.080 0.540
Ti1 Ti 0.310 0.310 0.060
Ti2 Ti 0.362 0.362 0.385
Ti3 Ti 0.424 0.424 0.702
Ti4 Ti 0.661 0.661 0.874
Ti5 Ti 0.686 0.686 0.252
Ti6 Ti 0.767 0.767 0.563
N1 N 0.468 0.468 0.542
N2 N 0.822 0.822 0.407
O1 O 0.175 0.175 0.921
O2 O 0.225 0.225 0.241
O3 O 0.284 0.284 0.590
O4 O 0.383 0.383 0.945
O5 O 0.404 0.404 0.225
O6 O 0.535 0.535 0.841
O7 O 0.582 0.582 0.123
O8 O 0.647 0.647 0.424
O9 O 0.674 0.674 0.697
O10 O 0.769 0.769 0.055
O11 O 0.891 0.891 0.716
```

Top 10 peaks for 2θ from 10° to 80°, in order of falling intensity:
2θ 30.1, I 100; 2θ 48.7, I 58; 2θ 12.1, I 57; 2θ 13.4, I 56; 2θ 30.3, I 55; 2θ 27.9, I 54; 2θ 34.1, I 51; 2θ 40.1, I 47; 2θ 24.5, I 39; 2θ 33.2, I 32